[1]
Starting from DFT lattice parameters and positions (GGA-PBE), the X-ray diffraction stick pattern of KCaTbNbO6 was simulated for a wavelength of 1.5418 Å.

Structure:
Cell lengths 8.4805, 8.4805, 8.4805 Å; angles 90.00, 90.00, 90.00 degrees
Space group F-43m (No. 216)
Unique sites:
1 K 0.0000 0.0000 0.0000 (multiplicity 4)
2 Ca 0.0000 0.0000 0.5000 (multiplicity 4)
3 Tb 0.2500 0.2500 0.7500 (multiplicity 4)
4 Nb 0.2500 0.2500 0.2500 (multiplicity 4)
5 O 0.0137 0.2500 0.2500 (multiplicity 24)

Principal peaks in the range 10° ≤ 2θ ≤ 90°, in order of rising 2θ:
d [Å], 2θ/deg, I/Imax
4.240, 21.0, 54
2.998, 29.8, 100
2.120, 42.6, 37
1.896, 48.0, 24
1.731, 52.9, 39
1.499, 61.9, 22
1.413, 66.1, 11
1.341, 70.2, 17
1.224, 78.1, 7
1.133, 85.7, 20

[2]
Starting from DFT lattice parameters and positions (GGA-PBE), the X-ray diffraction stick pattern of KCaZrNbO6 was simulated for a wavelength of 1.5418 Å.

Structure:
Cell lengths 8.2222, 8.2222, 8.2222 Å; angles 90.00, 90.00, 90.00 degrees
Space group F-43m (No. 216)
Unique sites:
1 K 0.0000 0.0000 0.0000 (multiplicity 4)
2 Ca 0.0000 0.0000 0.5000 (multiplicity 4)
3 Zr 0.2500 0.2500 0.7500 (multiplicity 4)
4 Nb 0.2500 0.2500 0.2500 (multiplicity 4)
5 O 0.0057 0.2500 0.2500 (multiplicity 24)

Principal peaks in the range 10° ≤ 2θ ≤ 90°, in order of rising 2θ:
d [Å], 2θ/deg, I/Imax
4.111, 21.6, 43
2.907, 30.8, 100
2.056, 44.1, 42
1.839, 49.6, 17
1.678, 54.7, 38
1.453, 64.1, 24
1.370, 68.5, 8
1.300, 72.7, 16
1.187, 81.0, 8
1.099, 89.1, 19

[3]
Starting from DFT lattice parameters and positions (GGA-PBE), the X-ray diffraction stick pattern of KCaNdP2O8 was simulated for a wavelength of 1.5418 Å.

Structure:
Cell lengths 7.0913, 7.0913, 12.9014 Å; angles 90.00, 90.00, 120.00 degrees
Space group P6_4 (No. 172)
Unique sites:
1 K 0.0000 0.0000 0.0000 (multiplicity 3)
2 Ca 0.0000 0.5000 0.2509 (multiplicity 3)
3 Nd 0.0000 0.5000 0.7546 (multiplicity 3)
4 P 0.0000 0.5000 0.0008 (multiplicity 3)
5 P 0.0000 0.5000 0.5052 (multiplicity 3)
6 O 0.1343 0.4364 0.0730 (multiplicity 6)
7 O 0.1342 0.6972 0.4326 (multiplicity 6)
8 O 0.1354 0.4394 0.5793 (multiplicity 6)
9 O 0.1356 0.6967 0.9275 (multiplicity 6)

Principal peaks in the range 10° ≤ 2θ ≤ 90°, in order of rising 2θ:
d [Å], 2θ/deg, I/Imax
6.141, 14.4, 35
5.545, 16.0, 49
4.448, 20.0, 25
3.071, 29.1, 100
2.855, 31.3, 62
2.386, 37.7, 16
2.184, 41.3, 23
1.884, 48.3, 40
1.773, 51.6, 15
1.728, 53.0, 26

[4]
Starting from DFT lattice parameters and positions (GGA-PBE), the X-ray diffraction stick pattern of K2CaP2O7 was simulated for a wavelength of 1.5418 Å.

Structure:
Cell lengths 9.9321, 5.7455, 14.4330 Å; angles 90.00, 117.63, 90.00 degrees
Space group P2_1/c (No. 14)
Unique sites:
1 K 0.0130 0.2380 0.1401 (multiplicity 4)
2 K 0.4657 0.2311 0.3221 (multiplicity 4)
3 Ca 0.2671 0.2384 0.5183 (multiplicity 4)
4 P 0.1718 0.7448 0.1414 (multiplicity 4)
5 P 0.3213 0.7199 0.3741 (multiplicity 4)
6 O 0.9999 0.2368 0.4296 (multiplicity 4)
7 O 0.1826 0.7040 0.7577 (multiplicity 4)
8 O 0.2493 0.5449 0.6212 (multiplicity 4)
9 O 0.2514 0.5124 0.1476 (multiplicity 4)
10 O 0.2810 0.0291 0.8907 (multiplicity 4)
11 O 0.3031 0.6030 0.9463 (multiplicity 4)
12 O 0.4704 0.7381 0.3676 (multiplicity 4)

Principal peaks in the range 10° ≤ 2θ ≤ 90°, in order of rising 2θ:
d [Å], 2θ/deg, I/Imax
4.812, 18.4, 16
4.412, 20.1, 20
3.451, 25.8, 21
3.197, 27.9, 23
3.042, 29.4, 58
3.028, 29.5, 28
2.870, 31.2, 100
2.406, 37.4, 14
2.210, 40.8, 25
2.200, 41.0, 14

[5]
Starting from DFT lattice parameters and positions (GGA-PBE), the X-ray diffraction stick pattern of KCaPO4 was simulated for a wavelength of 1.5418 Å.

Structure:
Cell lengths 12.4731, 7.6013, 7.2137 Å; angles 90.00, 90.83, 90.00 degrees
Space group C2/m (No. 12)
Unique sites:
1 K 0.0000 0.0000 0.0000 (multiplicity 2)
2 K 0.0000 0.0000 0.5000 (multiplicity 2)
3 Ca 0.1978 0.5000 0.1904 (multiplicity 4)
4 P 0.0445 0.5000 0.7862 (multiplicity 4)
5 O 0.0172 0.3329 0.2480 (multiplicity 8)
6 O 0.1486 0.0000 0.7493 (multiplicity 4)
7 O 0.1564 0.5000 0.8640 (multiplicity 4)

Principal peaks in the range 10° ≤ 2θ ≤ 90°, in order of rising 2θ:
d [Å], 2θ/deg, I/Imax
7.213, 12.3, 33
6.236, 14.2, 63
4.843, 18.3, 58
3.801, 23.4, 100
3.606, 24.7, 27
3.272, 27.3, 23
3.163, 28.2, 41
3.142, 28.4, 62
2.581, 34.8, 32
1.994, 45.5, 24

[6]
Starting from DFT lattice parameters and positions (GGA-PBE), the X-ray diffraction stick pattern of KCaZrSbO6 was simulated for a wavelength of 1.5418 Å.

Structure:
Cell lengths 8.1732, 8.1732, 8.1732 Å; angles 90.00, 90.00, 90.00 degrees
Space group F-43m (No. 216)
Unique sites:
1 K 0.0000 0.0000 0.0000 (multiplicity 4)
2 Ca 0.0000 0.0000 0.5000 (multiplicity 4)
3 Zr 0.2500 0.2500 0.7500 (multiplicity 4)
4 Sb 0.2500 0.2500 0.2500 (multiplicity 4)
5 O 0.0061 0.2500 0.2500 (multiplicity 24)

Principal peaks in the range 10° ≤ 2θ ≤ 90°, in order of rising 2θ:
d [Å], 2θ/deg, I/Imax
4.087, 21.7, 48
2.890, 30.9, 100
2.043, 44.3, 39
1.828, 49.9, 20
1.668, 55.0, 38
1.445, 64.5, 23
1.362, 68.9, 9
1.292, 73.2, 16
1.180, 81.6, 7
1.092, 89.8, 20

[7]
Starting from DFT lattice parameters and positions (GGA-PBE), the X-ray diffraction stick pattern of KCaSmSeO6 was simulated for a wavelength of 1.5418 Å.

Structure:
Cell lengths 8.1656, 8.1656, 8.1656 Å; angles 90.00, 90.00, 90.00 degrees
Space group F-43m (No. 216)
Unique sites:
1 K 0.0000 0.0000 0.0000 (multiplicity 4)
2 Ca 0.0000 0.0000 0.5000 (multiplicity 4)
3 Sm 0.2500 0.2500 0.7500 (multiplicity 4)
4 Se 0.2500 0.2500 0.2500 (multiplicity 4)
5 O 0.0266 0.2500 0.2500 (multiplicity 24)

Principal peaks in the range 10° ≤ 2θ ≤ 90°, in order of rising 2θ:
d [Å], 2θ/deg, I/Imax
4.083, 21.8, 50
2.887, 31.0, 100
2.462, 36.5, 9
2.041, 44.4, 36
1.826, 49.9, 20
1.667, 55.1, 37
1.443, 64.6, 21
1.361, 69.0, 9
1.291, 73.3, 18
1.091, 89.9, 21

[8]
Starting from DFT lattice parameters and positions (GGA-PBE), the X-ray diffraction stick pattern of K2Ca2Si8O23 was simulated for a wavelength of 1.5418 Å.

Structure:
Cell lengths 24.5200, 7.1433, 6.5590 Å; angles 90.00, 98.01, 90.00 degrees
Space group C2 (No. 5)
Unique sites:
1 K 0.1314 0.0000 0.2785 (multiplicity 4)
2 Ca 0.2409 0.5078 0.0389 (multiplicity 4)
3 Si 0.0656 0.5059 0.9952 (multiplicity 4)
4 Si 0.1318 0.2225 0.7780 (multiplicity 4)
5 Si 0.1337 0.7885 0.7792 (multiplicity 4)
6 Si 0.1470 0.5062 0.4252 (multiplicity 4)
7 O 0.0000 0.5059 0.0000 (multiplicity 2)
8 O 0.0118 0.0969 0.4232 (multiplicity 4)
9 O 0.0801 0.6823 0.8542 (multiplicity 4)
10 O 0.0824 0.3055 0.9007 (multiplicity 4)
11 O 0.0985 0.5319 0.2261 (multiplicity 4)
12 O 0.1139 0.0046 0.7216 (multiplicity 4)
13 O 0.1273 0.3248 0.5513 (multiplicity 4)
14 O 0.1426 0.7005 0.5548 (multiplicity 4)
15 O 0.1873 0.7802 0.9492 (multiplicity 4)
16 O 0.1907 0.2403 0.9161 (multiplicity 4)
17 O 0.2062 0.4773 0.3490 (multiplicity 4)
18 O 0.2447 0.0130 0.3506 (multiplicity 4)

Principal peaks in the range 10° ≤ 2θ ≤ 90°, in order of rising 2θ:
d [Å], 2θ/deg, I/Imax
6.073, 14.6, 100
4.809, 18.4, 22
4.333, 20.5, 23
3.081, 29.0, 74
3.045, 29.3, 24
3.035, 29.4, 27
2.982, 30.0, 53
2.896, 30.9, 24
2.710, 33.1, 22
2.560, 35.0, 26